(1)
The following is a theoretical powder diffractogram of KCd2PbBr8. It was derived from a DFT-relaxed cell (PBE, Alexandria), using Cu Kα X-rays.

Cell and atoms:
```
KCd2PbBr8
1.0
-5.2112 5.2112 4.4252
5.2112 -5.2112 4.4252
5.2112 5.2112 -4.4252
K Cd Pb Br
1 2 1 8
Cartesian
0.0000 0.0000 0.0000
5.2112 0.0000 2.2126
0.0000 0.0000 4.4252
0.0000 5.2112 2.2126
3.3336 0.0000 0.3800
7.0888 0.0000 0.3800
5.2112 3.1383 -1.6223
5.2112 -1.8776 4.0452
0.0000 2.0730 2.8029
5.2112 1.8776 4.0452
3.1383 5.2112 1.6223
2.0730 0.0000 6.0474
```

Principal peaks in the range 2θ = 15–90°, low angle first:
2θ/deg	I/Imax
17.0	100
21.5	36
23.4	23
26.4	32
27.6	36
31.5	21
33.9	84
34.4	37
42.1	53
43.9	19

(2)
The following is a theoretical powder diffractogram of KRb2CdBr5. It was derived from a DFT-relaxed cell (PBE, Alexandria), using Cu Kα X-rays.

Cell and atoms:
```
KRb2CdBr5
1.0
-4.6248 4.6248 8.0759
4.6248 -4.6248 8.0759
4.6248 4.6248 -8.0759
K Rb Cd Br
2 4 2 10
Cartesian
0.0000 0.0000 4.0380
0.0000 0.0000 12.1139
6.0889 1.4640 0.0000
1.4640 3.1608 0.0000
3.1608 1.4640 8.0759
-1.4640 3.1608 8.0759
4.6248 0.0000 4.0380
0.0000 4.6248 4.0380
0.0000 0.0000 0.0000
3.1774 1.4475 -2.4075
3.1774 -1.4475 5.6684
3.1774 1.4475 2.4075
3.1774 -1.4475 10.4835
0.0000 0.0000 8.0759
1.4475 6.0723 -2.4075
1.4475 3.1774 5.6684
1.4475 6.0723 2.4075
1.4475 3.1774 10.4835
```

Principal peaks in the range 2θ = 15–90°, low angle first:
2θ/deg	I/Imax
17.4	16
27.2	100
29.4	19
30.6	18
32.6	15
35.3	14
41.4	11
43.7	25
45.8	22
56.2	19

Repeat the first record exactly.
The following is a theoretical powder diffractogram of KCd2PbBr8. It was derived from a DFT-relaxed cell (PBE, Alexandria), using Cu Kα X-rays.

Cell and atoms:
```
KCd2PbBr8
1.0
-5.2112 5.2112 4.4252
5.2112 -5.2112 4.4252
5.2112 5.2112 -4.4252
K Cd Pb Br
1 2 1 8
Cartesian
0.0000 0.0000 0.0000
5.2112 0.0000 2.2126
0.0000 0.0000 4.4252
0.0000 5.2112 2.2126
3.3336 0.0000 0.3800
7.0888 0.0000 0.3800
5.2112 3.1383 -1.6223
5.2112 -1.8776 4.0452
0.0000 2.0730 2.8029
5.2112 1.8776 4.0452
3.1383 5.2112 1.6223
2.0730 0.0000 6.0474
```

Principal peaks in the range 2θ = 15–90°, low angle first:
2θ/deg	I/Imax
17.0	100
21.5	36
23.4	23
26.4	32
27.6	36
31.5	21
33.9	84
34.4	37
42.1	53
43.9	19